No. 1
Diffraction record for Pr3Sm8Ho4. The X-ray powder pattern is calculated, not measured: it uses a cell relaxed with PBE and Cu Kα (λ = 1.5418 Å).
Kinematic intensities with the Lorentz-polarization factor, no thermal factor.

Structure:
```
Pr3Sm8Ho4
1.0
7.0019 -6.1115 0.0000
7.0019 6.1115 0.0000
-3.3718 0.0000 6.0178
Pr Sm Ho
3 8 4
direct
0.0000 0.0000 0.0000 Pr
0.0000 0.5000 0.0000 Pr
0.5000 0.0000 0.0000 Pr
0.2047 0.2047 0.7016 Sm
0.2047 0.7953 0.5000 Sm
0.2531 0.2531 0.2520 Sm
0.2527 0.7473 0.0000 Sm
0.7473 0.2527 0.0000 Sm
0.7469 0.7469 0.7480 Sm
0.7953 0.2047 0.5000 Sm
0.7953 0.7953 0.2984 Sm
0.0000 0.5000 0.5000 Ho
0.5000 0.0000 0.5000 Ho
0.5000 0.5000 0.0000 Ho
0.5000 0.5000 0.5000 Ho
```

Largest 12 diffraction maxima, sorted by position, 10° ≤ 2θ ≤ 80°:
Position (°2θ)	d_spacing	I/Imax
25.8	3.449	17
29.2	3.055	100
29.7	3.005	40
29.8	2.998	13
33.2	2.699	24
33.3	2.691	25
39.1	2.304	13
39.4	2.289	12
41.8	2.160	32
42.1	2.145	15
42.3	2.139	15
61.8	1.502	12

No. 2
Diffraction record for Re3Mo4W. The X-ray powder pattern is calculated, not measured: it uses a cell relaxed with PBE and Cu Kα (λ = 1.5418 Å).
Kinematic intensities with the Lorentz-polarization factor, no thermal factor.

Structure:
```
Re3Mo4W
1.0
6.2866 0.0000 0.0000
0.0000 6.2944 0.0000
0.0000 0.0000 6.2927
Re Mo W
6 8 2
direct
0.0000 0.0000 0.0000 Re
0.2500 0.2523 0.2500 Re
0.2500 0.7477 0.7500 Re
0.5000 0.0000 0.5000 Re
0.7500 0.2523 0.2500 Re
0.7500 0.7477 0.7500 Re
0.0000 0.0000 0.5000 Mo
0.0000 0.5000 0.5000 Mo
0.2500 0.2504 0.7500 Mo
0.2500 0.7496 0.2500 Mo
0.5000 0.0000 0.0000 Mo
0.5000 0.5000 0.0000 Mo
0.7500 0.2504 0.7500 Mo
0.7500 0.7496 0.2500 Mo
0.0000 0.5000 0.0000 W
0.5000 0.5000 0.5000 W
```

Largest 10 diffraction maxima, sorted by position, 10° ≤ 2θ ≤ 80°:
Position (°2θ)	d_spacing	I/Imax
20.0	4.449	9
34.9	2.568	5
40.6	2.224	100
45.6	1.990	2
54.6	1.681	3
58.7	1.573	17
62.7	1.483	1
70.2	1.341	1
73.8	1.284	34
77.3	1.234	1

No. 3
Diffraction record for InAu4. The X-ray powder pattern is calculated, not measured: it uses a cell relaxed with PBE and Cu Kα (λ = 1.5418 Å).
Kinematic intensities with the Lorentz-polarization factor, no thermal factor.

Structure:
```
InAu4
1.0
-2.1466 2.9155 7.6466
2.1466 -2.9155 7.6466
2.1466 2.9155 -7.6466
In Au
2 8
direct
0.3598 0.1098 0.2500 In
0.6402 0.8902 0.7500 In
0.0000 0.5000 0.5000 Au
0.1558 0.9058 0.2500 Au
0.1837 0.6906 0.4931 Au
0.3025 0.3094 0.9931 Au
0.5000 0.5000 0.0000 Au
0.6975 0.6906 0.0069 Au
0.8163 0.3094 0.5069 Au
0.8442 0.0942 0.7500 Au
```

Largest 12 diffraction maxima, sorted by position, 10° ≤ 2θ ≤ 80°:
Position (°2θ)	d_spacing	I/Imax
36.1	2.491	100
37.8	2.382	81
38.8	2.318	24
42.1	2.147	35
47.4	1.919	28
58.6	1.575	14
65.2	1.431	22
73.0	1.296	13
74.1	1.280	12
75.6	1.258	24
76.5	1.246	12
79.6	1.205	15

No. 4
Diffraction record for Mg5Ga2Pd12. The X-ray powder pattern is calculated, not measured: it uses a cell relaxed with PBE and Cu Kα (λ = 1.5418 Å).
Kinematic intensities with the Lorentz-polarization factor, no thermal factor.

Structure:
```
Mg5Ga2Pd12
1.0
6.2964 -4.0890 0.0000
6.2964 4.0890 0.0000
-0.2780 0.0000 5.9538
Mg Ga Pd
5 2 12
direct
0.0000 0.0000 0.0000 Mg
0.2447 0.2447 0.0431 Mg
0.3253 0.3253 0.5706 Mg
0.6747 0.6747 0.4294 Mg
0.7553 0.7553 0.9569 Mg
0.2465 0.7535 0.5000 Ga
0.7535 0.2465 0.5000 Ga
0.0451 0.5774 0.2977 Pd
0.1137 0.1137 0.3989 Pd
0.1728 0.6226 0.8867 Pd
0.3774 0.8272 0.1133 Pd
0.4226 0.9549 0.7023 Pd
0.4564 0.4564 0.2370 Pd
0.5436 0.5436 0.7630 Pd
0.5774 0.0451 0.2977 Pd
0.6226 0.1728 0.8867 Pd
0.8272 0.3774 0.1133 Pd
0.8863 0.8863 0.6011 Pd
0.9549 0.4226 0.7023 Pd
```

Largest 12 diffraction maxima, sorted by position, 10° ≤ 2θ ≤ 80°:
Position (°2θ)	d_spacing	I/Imax
20.0	4.440	13
21.7	4.089	19
27.7	3.222	12
32.8	2.729	12
39.6	2.277	95
39.7	2.269	100
44.3	2.044	35
45.2	2.007	26
48.8	1.868	25
65.1	1.432	15
68.0	1.379	17
78.4	1.220	20

No. 5
Diffraction record for ReBrCl3. The X-ray powder pattern is calculated, not measured: it uses a cell relaxed with PBE and Cu Kα (λ = 1.5418 Å).
Kinematic intensities with the Lorentz-polarization factor, no thermal factor.

Structure:
```
ReBrCl3
1.0
9.9819 0.0000 0.0000
0.0000 5.9816 0.0000
-6.8130 0.0000 9.9857
Re Br Cl
4 4 12
direct
0.1145 0.0172 0.1858 Re
0.1145 0.4828 0.6858 Re
0.8855 0.5172 0.3142 Re
0.8855 0.9828 0.8142 Re
0.3291 0.7038 0.8668 Br
0.3291 0.7962 0.3668 Br
0.6709 0.2038 0.6332 Br
0.6709 0.2962 0.1332 Br
0.0989 0.2485 0.8419 Cl
0.0989 0.2515 0.3419 Cl
0.1138 0.7048 0.5180 Cl
0.1138 0.7952 0.0180 Cl
0.2909 0.2366 0.6905 Cl
0.2909 0.2634 0.1905 Cl
0.7091 0.7366 0.8095 Cl
0.7091 0.7634 0.3095 Cl
0.8862 0.2048 0.9820 Cl
0.8862 0.2952 0.4820 Cl
0.9011 0.7485 0.6581 Cl
0.9011 0.7515 0.1581 Cl
```

Largest 12 diffraction maxima, sorted by position, 10° ≤ 2θ ≤ 80°:
Position (°2θ)	d_spacing	I/Imax
10.7	8.246	88
17.5	5.064	100
17.8	4.993	26
18.7	4.757	36
23.4	3.795	41
27.0	3.300	23
29.6	3.014	15
30.7	2.908	26
39.7	2.270	22
40.6	2.224	20
42.6	2.124	18
48.0	1.896	18

No. 6
Diffraction record for Si23Ne4. The X-ray powder pattern is calculated, not measured: it uses a cell relaxed with PBE and Cu Kα (λ = 1.5418 Å).
Kinematic intensities with the Lorentz-polarization factor, no thermal factor.

Structure:
```
Si23Ne4
1.0
10.2669 0.0000 0.0000
0.0000 10.2669 0.0000
0.0000 0.0000 10.2669
Si Ne
46 8
direct
0.0000 0.1176 0.3075 Si
0.0000 0.1176 0.6925 Si
0.0000 0.2500 0.5000 Si
0.0000 0.7500 0.5000 Si
0.0000 0.8824 0.3075 Si
0.0000 0.8824 0.6925 Si
0.1176 0.3075 0.0000 Si
0.1176 0.6925 0.0000 Si
0.1839 0.1839 0.1839 Si
0.1839 0.1839 0.8161 Si
0.1839 0.8161 0.1839 Si
0.1839 0.8161 0.8161 Si
0.1925 0.3824 0.5000 Si
0.1925 0.6176 0.5000 Si
0.2500 0.5000 0.0000 Si
0.3075 0.0000 0.1176 Si
0.3075 0.0000 0.8824 Si
0.3161 0.3161 0.3161 Si
0.3161 0.3161 0.6839 Si
0.3161 0.6839 0.3161 Si
0.3161 0.6839 0.6839 Si
0.3824 0.5000 0.1925 Si
0.3824 0.5000 0.8075 Si
0.5000 0.0000 0.2500 Si
0.5000 0.0000 0.7500 Si
0.5000 0.1925 0.3824 Si
0.5000 0.1925 0.6176 Si
0.5000 0.8075 0.3824 Si
0.5000 0.8075 0.6176 Si
0.6176 0.5000 0.1925 Si
0.6176 0.5000 0.8075 Si
0.6839 0.3161 0.3161 Si
0.6839 0.3161 0.6839 Si
0.6839 0.6839 0.3161 Si
0.6839 0.6839 0.6839 Si
0.6925 0.0000 0.1176 Si
0.6925 0.0000 0.8824 Si
0.7500 0.5000 0.0000 Si
0.8075 0.3824 0.5000 Si
0.8075 0.6176 0.5000 Si
0.8161 0.1839 0.1839 Si
0.8161 0.1839 0.8161 Si
0.8161 0.8161 0.1839 Si
0.8161 0.8161 0.8161 Si
0.8824 0.3075 0.0000 Si
0.8824 0.6925 0.0000 Si
0.0000 0.0000 0.0000 Ne
0.0000 0.5000 0.2500 Ne
0.0000 0.5000 0.7500 Ne
0.2500 0.0000 0.5000 Ne
0.5000 0.2500 0.0000 Ne
0.5000 0.5000 0.5000 Ne
0.5000 0.7500 0.0000 Ne
0.7500 0.0000 0.5000 Ne
```

Largest 12 diffraction maxima, sorted by position, 10° ≤ 2θ ≤ 80°:
Position (°2θ)	d_spacing	I/Imax
19.3	4.592	21
21.2	4.191	12
30.2	2.964	33
31.4	2.848	35
32.6	2.744	100
35.0	2.567	9
36.1	2.490	23
37.2	2.420	12
51.9	1.761	56
52.7	1.735	19
53.6	1.711	21
55.1	1.666	45

No. 7
Diffraction record for Sm6Cd3Co. The X-ray powder pattern is calculated, not measured: it uses a cell relaxed with PBE and Cu Kα (λ = 1.5418 Å).
Kinematic intensities with the Lorentz-polarization factor, no thermal factor.

Structure:
```
Sm6Cd3Co
1.0
5.3121 0.0000 0.0000
0.0000 9.2537 0.0000
-5.3074 0.0000 11.3688
Sm Cd Co
12 6 2
direct
0.0753 0.1537 0.0759 Sm
0.0753 0.3463 0.5759 Sm
0.2709 0.5168 0.2700 Sm
0.2709 0.9832 0.7700 Sm
0.4167 0.1941 0.4169 Sm
0.4167 0.3059 0.9169 Sm
0.5833 0.6941 0.0831 Sm
0.5833 0.8059 0.5831 Sm
0.7291 0.0168 0.2300 Sm
0.7291 0.4832 0.7300 Sm
0.9247 0.6537 0.4241 Sm
0.9247 0.8463 0.9241 Sm
0.0000 0.0000 0.5000 Cd
0.0000 0.5000 0.0000 Cd
0.2730 0.6492 0.7740 Cd
0.2730 0.8508 0.2740 Cd
0.7270 0.1492 0.7260 Cd
0.7270 0.3508 0.2260 Cd
0.5000 0.0000 0.0000 Co
0.5000 0.5000 0.5000 Co
```

Largest 12 diffraction maxima, sorted by position, 10° ≤ 2θ ≤ 80°:
Position (°2θ)	d_spacing	I/Imax
24.8	3.585	9
30.5	2.928	100
33.6	2.667	83
33.7	2.656	46
37.2	2.420	27
46.0	1.975	12
46.1	1.968	17
51.0	1.790	9
58.2	1.585	12
58.4	1.581	12
59.9	1.544	14
60.3	1.536	15

No. 8
Diffraction record for Ta4MoS10. The X-ray powder pattern is calculated, not measured: it uses a cell relaxed with PBE and Cu Kα (λ = 1.5418 Å).
Kinematic intensities with the Lorentz-polarization factor, no thermal factor.

Structure:
```
Ta4MoS10
1.0
14.0386 -1.6567 0.0000
14.0386 1.6567 0.0000
-1.5281 0.0000 7.0604
Ta Mo S
4 1 10
direct
0.0000 0.0000 0.0000 Ta
0.2025 0.2025 0.4051 Ta
0.3951 0.3951 0.7901 Ta
0.5997 0.5997 0.1995 Ta
0.8000 0.8000 0.5999 Mo
0.1177 0.1177 0.4607 S
0.1512 0.1512 0.0773 S
0.3139 0.3139 0.8559 S
0.3478 0.3478 0.4673 S
0.5158 0.5158 0.2601 S
0.5498 0.5498 0.8711 S
0.7180 0.7180 0.6627 S
0.7517 0.7517 0.2768 S
0.9154 0.9154 0.0535 S
0.9486 0.9486 0.6744 S
```

Largest 12 diffraction maxima, sorted by position, 10° ≤ 2θ ≤ 80°:
Position (°2θ)	d_spacing	I/Imax
12.8	6.900	100
31.3	2.857	8
31.5	2.837	16
32.2	2.777	16
32.6	2.744	8
35.2	2.546	8
36.0	2.493	17
37.9	2.377	17
38.7	2.324	8
44.3	2.043	12
46.9	1.937	10
55.4	1.657	12

No. 9
Diffraction record for Pa2Ge2Pt. The X-ray powder pattern is calculated, not measured: it uses a cell relaxed with PBE and Cu Kα (λ = 1.5418 Å).
Kinematic intensities with the Lorentz-polarization factor, no thermal factor.

Structure:
```
Pa2Ge2Pt
1.0
3.7857 0.0000 0.0000
0.0000 4.1037 0.0000
0.0000 0.0000 13.5295
Pa Ge Pt
4 4 2
direct
0.0000 0.0000 0.0000 Pa
0.0000 0.0000 0.2264 Pa
0.0000 0.5000 0.5000 Pa
0.0000 0.5000 0.7264 Pa
0.5000 0.0000 0.6113 Ge
0.5000 0.0000 0.8102 Ge
0.5000 0.5000 0.1113 Ge
0.5000 0.5000 0.3102 Ge
0.5000 0.0000 0.4186 Pt
0.5000 0.5000 0.9186 Pt
```

Largest 12 diffraction maxima, sorted by position, 10° ≤ 2θ ≤ 80°:
Position (°2θ)	d_spacing	I/Imax
22.6	3.927	20
26.3	3.382	17
27.0	3.304	14
32.9	2.725	100
35.6	2.522	49
38.0	2.368	40
39.9	2.259	63
44.1	2.052	26
48.1	1.893	21
57.9	1.592	25
64.2	1.451	32
67.3	1.391	15

No. 10
Diffraction record for TbPm4Ho2. The X-ray powder pattern is calculated, not measured: it uses a cell relaxed with PBE and Cu Kα (λ = 1.5418 Å).
Kinematic intensities with the Lorentz-polarization factor, no thermal factor.

Structure:
```
TbPm4Ho2
1.0
0.0000 12.1002 3.2269
5.9783 0.0000 3.2269
5.9783 12.1002 0.0000
Tb Pm Ho
2 8 4
direct
0.0000 0.0000 0.0000 Tb
0.2500 0.2500 0.2500 Tb
0.1373 0.2883 0.0755 Pm
0.1745 0.7512 0.1127 Pm
0.2883 0.1373 0.4988 Pm
0.3709 0.6154 0.4885 Pm
0.6154 0.3709 0.5253 Pm
0.7247 0.7615 0.6346 Pm
0.7512 0.1745 0.9617 Pm
0.7615 0.7247 0.8791 Pm
0.1977 0.6793 0.3712 Ho
0.4982 0.8788 0.5707 Ho
0.6793 0.1977 0.7518 Ho
0.8788 0.4982 0.0523 Ho
```

Largest 12 diffraction maxima, sorted by position, 10° ≤ 2θ ≤ 80°:
Position (°2θ)	d_spacing	I/Imax
28.6	3.123	15
29.9	2.989	10
30.3	2.953	100
30.8	2.902	32
31.5	2.840	63
32.2	2.777	33
32.4	2.765	25
37.1	2.421	27
50.6	1.806	20
55.3	1.661	21
58.8	1.569	10
60.8	1.524	14

No. 11
Diffraction record for NaSn. The X-ray powder pattern is calculated, not measured: it uses a cell relaxed with PBE and Cu Kα (λ = 1.5418 Å).
Kinematic intensities with the Lorentz-polarization factor, no thermal factor.

Structure:
```
NaSn
1.0
-5.2200 5.2200 8.7712
5.2200 -5.2200 8.7712
5.2200 5.2200 -8.7712
Na Sn
16 16
direct
0.0024 0.4976 0.2500 Na
0.1277 0.2500 0.3777 Na
0.2476 0.9976 0.9953 Na
0.2500 0.3723 0.1223 Na
0.2500 0.8723 0.6223 Na
0.2524 0.2476 0.7500 Na
0.3723 0.7500 0.1223 Na
0.4976 0.7476 0.4953 Na
0.5024 0.2524 0.5047 Na
0.6277 0.2500 0.8777 Na
0.7476 0.7524 0.2500 Na
0.7500 0.1277 0.3777 Na
0.7500 0.6277 0.8777 Na
0.7524 0.0024 0.0047 Na
0.8723 0.7500 0.6223 Na
0.9976 0.5024 0.7500 Na
0.0055 0.0592 0.6912 Sn
0.0592 0.8680 0.0536 Sn
0.1320 0.6857 0.1912 Sn
0.1857 0.6320 0.6912 Sn
0.3143 0.0055 0.4464 Sn
0.3680 0.5592 0.5536 Sn
0.4408 0.4945 0.8088 Sn
0.4945 0.1857 0.0536 Sn
0.5055 0.8143 0.9464 Sn
0.5592 0.5055 0.1912 Sn
0.6320 0.4408 0.4464 Sn
0.6857 0.9945 0.5536 Sn
0.8143 0.3680 0.3088 Sn
0.8680 0.3143 0.8088 Sn
0.9408 0.1320 0.9464 Sn
0.9945 0.9408 0.3088 Sn
```

Largest 12 diffraction maxima, sorted by position, 10° ≤ 2θ ≤ 80°:
Position (°2θ)	d_spacing	I/Imax
15.7	5.648	100
17.0	5.220	17
24.4	3.649	23
31.3	2.857	47
31.9	2.805	44
33.0	2.718	25
34.0	2.638	36
34.4	2.610	22
34.6	2.595	32
35.9	2.503	17
40.4	2.233	22
59.6	1.550	16

Copy entry 7 word for word.
Diffraction record for Sm6Cd3Co. The X-ray powder pattern is calculated, not measured: it uses a cell relaxed with PBE and Cu Kα (λ = 1.5418 Å).
Kinematic intensities with the Lorentz-polarization factor, no thermal factor.

Structure:
```
Sm6Cd3Co
1.0
5.3121 0.0000 0.0000
0.0000 9.2537 0.0000
-5.3074 0.0000 11.3688
Sm Cd Co
12 6 2
direct
0.0753 0.1537 0.0759 Sm
0.0753 0.3463 0.5759 Sm
0.2709 0.5168 0.2700 Sm
0.2709 0.9832 0.7700 Sm
0.4167 0.1941 0.4169 Sm
0.4167 0.3059 0.9169 Sm
0.5833 0.6941 0.0831 Sm
0.5833 0.8059 0.5831 Sm
0.7291 0.0168 0.2300 Sm
0.7291 0.4832 0.7300 Sm
0.9247 0.6537 0.4241 Sm
0.9247 0.8463 0.9241 Sm
0.0000 0.0000 0.5000 Cd
0.0000 0.5000 0.0000 Cd
0.2730 0.6492 0.7740 Cd
0.2730 0.8508 0.2740 Cd
0.7270 0.1492 0.7260 Cd
0.7270 0.3508 0.2260 Cd
0.5000 0.0000 0.0000 Co
0.5000 0.5000 0.5000 Co
```

Largest 12 diffraction maxima, sorted by position, 10° ≤ 2θ ≤ 80°:
Position (°2θ)	d_spacing	I/Imax
24.8	3.585	9
30.5	2.928	100
33.6	2.667	83
33.7	2.656	46
37.2	2.420	27
46.0	1.975	12
46.1	1.968	17
51.0	1.790	9
58.2	1.585	12
58.4	1.581	12
59.9	1.544	14
60.3	1.536	15